# CsNa9Au3
Calculated PXRD pattern, Cu Kα (λ = 1.5418 Å). Input: a structure optimized by DFT (GGA-PBE).
Lines closer than 0.1° are merged.

Top 10 peaks for 10 to 90 degrees two-theta, in order of rising 2θ:
2θ (°)	d (Å)	Rel. int.
11.56	7.654	38
15.82	5.601	39
16.11	5.501	100
22.47	3.956	64
23.24	3.827	37
31.96	2.800	72
32.17	2.782	58
32.56	2.750	66
35.83	2.506	26
45.86	1.979	33

Structural model:
```
CsNa9Au3
1.0
3.240 -7.911 0.000
3.240 7.911 0.000
-3.160 0.000 7.654
Cs Na Au
1 9 3
Direct
0.000 0.000 0.000
0.031 0.673 0.677
0.255 0.493 0.780
0.327 0.969 0.323
0.493 0.255 0.780
0.500 0.500 0.500
0.507 0.745 0.220
0.673 0.031 0.677
0.745 0.507 0.220
0.969 0.327 0.323
0.000 0.000 0.500
0.000 0.500 0.000
0.500 0.000 0.000
```